Mo2PbO7: simulated X-ray diffraction stick pattern (Cu Ka), based on a crystal structure in Alexandria, relaxed with PBE+U.
Kinematic intensities with the Lorentz-polarization factor, no thermal factor.

Structure:
abc: 4.108 3.846 10.152
angles: 90.00 101.05 90.00
Space group P2/m (No. 10)
Unique sites:
Mo (0.183, 0.000, 0.189) [2 per cell]
Pb (0.500, 0.500, 0.500) [1 per cell]
O (0.000, 0.000, 0.000) [1 per cell]
O (0.130, 0.500, 0.192) [2 per cell]
O (0.196, 0.000, 0.378) [2 per cell]
O (0.391, 0.000, 0.811) [2 per cell]

Peak list (10 most intense, 2θ = 10–80°, in order of rising 2θ)
(1 0 -1), 22.1 deg, I 100; (0 1 1), 24.8 deg, I 55; (0 0 3), 26.8 deg, I 52; (0 1 2), 29.3 deg, I 54; (1 0 2), 31.1 deg, I 24; (1 1 0), 32.2 deg, I 28; (1 1 1), 34.6 deg, I 35; (1 1 -2), 34.8 deg, I 22; (2 0 -2), 45.2 deg, I 20; (1 2 -1), 52.8 deg, I 22